# HfBiPt
Theoretical powder diffraction line list, CuKα. Input: DFT lattice parameters and positions (GGA-PBE).

Cell lengths 7.002, 4.015, 9.757 Å; angles 90.00, 90.00, 90.00 degrees
Fractional positions:
Hf1 0.024 0.250 0.145
Hf2 0.476 0.750 0.645
Hf3 0.524 0.250 0.355
Hf4 0.976 0.750 0.855
Bi1 0.132 0.250 0.614
Bi2 0.368 0.750 0.114
Bi3 0.632 0.250 0.886
Bi4 0.868 0.750 0.386
Pt1 0.216 0.250 0.905
Pt2 0.284 0.750 0.405
Pt3 0.716 0.250 0.595
Pt4 0.784 0.750 0.095

Peak list (10 most intense, 2θ from 5° to 70°, low angle first)
(1 1 2), 2θ 31.56, I 100; (2 1 0), 2θ 33.97, I 65; (2 1 1), 2θ 35.23, I 60; (0 1 3), 2θ 35.52, I 42; (0 0 4), 2θ 36.85, I 56; (3 0 2), 2θ 42.96, I 35; (2 1 3), 2θ 44.20, I 35; (0 2 0), 2θ 45.16, I 43; (2 1 4), 2θ 50.99, I 34; (0 2 4), 2θ 59.65, I 28